[1]
Starting from a cell relaxed with PBE, the X-ray powder pattern of SrAgGe was simulated for Cu Ka.
Peak positions follow from Bragg's law for the DFT cell and can differ from measured ones.

Structural model:
abc: 11.1741 4.7315 14.9560
angles: 90.00 103.62 90.00
Space group Cm (No. 8)
Inequivalent atoms, fractional coordinates:
Sr 0.0000 0.0000 0.0000
Sr 0.0257 0.5000 0.3759
Sr 0.1456 0.0000 0.7701
Sr 0.2618 0.5000 0.1870
Sr 0.3796 0.0000 0.6104
Ag 0.0558 0.0000 0.2209
Ag 0.1729 0.5000 0.5985
Ag 0.2352 0.0000 0.3925
Ag 0.2939 0.0000 0.9939
Ag 0.3499 0.5000 0.7802
Ge 0.0635 0.0000 0.5324
Ge 0.1863 0.5000 0.9287
Ge 0.3396 0.5000 0.4485
Ge 0.4597 0.0000 0.8420
Ge 0.4628 0.0000 0.1551

Top 8 peaks for 15° ≤ 2θ ≤ 90°, low angle first:
d (Å)  2θ (°)  I_rel  h k l
2.924  30.57  55  1 1 -4
2.907  30.76  44  0 0 5
2.863  31.25  100  3 1 -2
2.790  32.08  22  4 0 -1
2.665  33.63  23  1 1 4
2.366  38.04  64  0 2 0
2.292  39.32  93  3 1 3
1.407  66.44  23  7 1 -6

***

[2]
Starting from a cell relaxed with PBE, the X-ray powder pattern of ReH12N3Cl4O3 was simulated for Cu Ka.
Peak positions follow from Bragg's law for the DFT cell and can differ from measured ones.

Structural model:
abc: 9.3309 16.1619 7.8825
angles: 90.00 90.00 90.00
Space group Cmc2_1 (No. 36)
Inequivalent atoms, fractional coordinates:
Re 0.0000 0.1669 0.0000
H 0.0000 0.2902 0.4386
H 0.0000 0.3927 0.4756
H 0.0904 0.3268 0.6081
H 0.1610 0.4463 0.9756
H 0.1852 0.1050 0.4386
H 0.1948 0.0415 0.6081
H 0.2146 0.3681 0.1081
N 0.0000 0.3341 0.5340
N 0.2490 0.4170 0.0340
Cl 0.0000 0.0496 0.2214
Cl 0.0000 0.4999 0.3198
Cl 0.1757 0.2253 0.2215
O 0.0000 0.2644 0.9075
O 0.1466 0.1179 0.9075

Top 8 peaks for 15° ≤ 2θ ≤ 90°, low angle first:
d (Å)  2θ (°)  I_rel  h k l
5.643  15.71  100  1 1 1
4.665  19.02  42  2 0 0
3.596  24.76  44  0 4 1
3.011  29.67  18  2 0 2
2.848  31.41  24  2 4 1
2.821  31.72  26  2 2 2
2.333  38.60  12  4 0 0
1.992  45.54  15  2 4 3

***

[3]
Starting from a cell relaxed with PBE, the X-ray powder pattern of ZnSn2O4 was simulated for Cu Ka.
Peak positions follow from Bragg's law for the DFT cell and can differ from measured ones.

Structural model:
abc: 6.6389 6.6389 15.9442
angles: 90.00 90.00 120.00
Space group R3m (No. 160, hexagonal axes)
Inequivalent atoms, fractional coordinates:
Zn 0.0000 0.0000 0.0000
Zn 0.0000 0.0000 0.3792
Sn 0.0000 0.0000 0.7583
Sn 0.0032 0.5016 0.8790
O 0.0000 0.0000 0.1342
O 0.0000 0.0000 0.6107
O 0.0535 0.5267 0.1374
O 0.1783 0.3565 0.9569

Top 8 peaks for 15° ≤ 2θ ≤ 90°, low angle first:
d (Å)  2θ (°)  I_rel  h k l
3.276  27.22  45  1 0 4
2.829  31.63  91  0 2 1
2.815  31.78  100  1 1 3
2.789  32.10  55  0 1 5
2.704  33.13  46  2 0 2
2.332  38.61  39  0 2 4
1.660  55.35  55  2 2 0
1.638  56.16  52  2 0 8

***

[4]
Starting from a cell relaxed with PBE, the X-ray powder pattern of K9Gd3Si12O32F2 was simulated for Cu Ka.
Peak positions follow from Bragg's law for the DFT cell and can differ from measured ones.

Structural model:
abc: 6.9764 11.5308 11.6034
angles: 87.71 89.49 80.20
Space group P-1 (No. 2)
Inequivalent atoms, fractional coordinates:
K 0.0000 0.0000 0.0000
K 0.2350 0.3850 0.9831
K 0.3305 0.1913 0.2217
K 0.3320 0.1536 0.7865
K 0.4825 0.6695 0.4894
Gd 0.0140 0.5135 0.6654
Gd 0.5000 0.0000 0.5000
Si 0.0540 0.2333 0.5108
Si 0.1572 0.9096 0.3044
Si 0.1615 0.8619 0.6887
Si 0.1885 0.6954 0.1596
Si 0.2150 0.6671 0.8819
Si 0.4829 0.4851 0.2568
O 0.9996 0.3526 0.7892
O 0.0124 0.7873 0.6252
O 0.0272 0.3762 0.5175
O 0.0383 0.9913 0.7240
O 0.0413 0.6030 0.8419
O 0.1124 0.8162 0.4070
O 0.1873 0.8361 0.1835
O 0.2069 0.6898 0.0196
O 0.2165 0.7967 0.8169
O 0.2693 0.1631 0.5387
O 0.3105 0.4225 0.3105
O 0.3412 0.5102 0.6547
O 0.3460 0.9650 0.3318
O 0.3544 0.8740 0.6175
O 0.3981 0.6242 0.2119
O 0.4326 0.5846 0.8627
F 0.2539 0.1568 0.0042

Top 8 peaks for 15° ≤ 2θ ≤ 90°, low angle first:
d (Å)  2θ (°)  I_rel  h k l
5.664  15.65  66  0 2 0
5.482  16.17  54  1 -1 0
3.369  26.45  93  1 0 3
3.296  27.06  100  2 0 -1
3.190  27.97  79  2 2 0
3.061  29.17  69  1 2 3
2.778  32.23  53  -2 1 2
2.756  32.49  65  2 -1 2

***

[5]
Starting from a cell relaxed with PBE, the X-ray powder pattern of Cu2NiSnS4 was simulated for Cu Ka.
Peak positions follow from Bragg's law for the DFT cell and can differ from measured ones.

Structural model:
abc: 5.3632 5.3632 10.8330
angles: 90.00 90.00 90.00
Space group I-4 (No. 82)
Inequivalent atoms, fractional coordinates:
Cu 0.0000 0.0000 0.0000
Cu 0.0000 0.5000 0.2500
Ni 0.0000 0.0000 0.5000
Sn 0.0000 0.5000 0.7500
S 0.2294 0.7405 0.3848

Top 8 peaks for 15° ≤ 2θ ≤ 90°, low angle first:
d (Å)  2θ (°)  I_rel  h k l
3.107  28.74  100  1 1 2
2.682  33.41  10  2 0 0
1.906  47.73  39  2 0 4
1.896  47.98  19  2 2 0
1.630  56.45  14  1 1 6
1.619  56.89  27  3 1 2
1.236  77.17  11  1 3 6
1.097  89.34  12  4 2 4

***

[6]
Starting from a cell relaxed with PBE, the X-ray powder pattern of Na2ZrSi3O11 was simulated for Cu Ka.
Peak positions follow from Bragg's law for the DFT cell and can differ from measured ones.

Structural model:
abc: 7.5456 13.2345 10.1407
angles: 90.00 90.56 90.00
Space group C2/c (No. 15)
Inequivalent atoms, fractional coordinates:
Na 0.0000 0.0000 0.0000
Na 0.2500 0.2500 0.0000
Zr 0.0000 0.5000 0.0000
Si 0.0000 0.3016 0.2500
Si 0.2028 0.1012 0.2504
O 0.0000 0.0517 0.2500
O 0.0039 0.1650 0.9076
O 0.0062 0.3688 0.1169
O 0.1752 0.2253 0.2462
O 0.2010 0.4369 0.6169
O 0.2039 0.4316 0.8870

Top 8 peaks for 15° ≤ 2θ ≤ 90°, low angle first:
d (Å)  2θ (°)  I_rel  h k l
5.538  16.00  38  0 2 1
5.484  16.16  68  1 1 1
4.026  22.08  100  0 2 2
3.039  29.39  39  2 0 -2
3.013  29.65  47  2 0 2
2.767  32.35  62  0 4 2
2.013  45.04  56  2 2 -4
1.904  47.76  39  2 6 0

***

[7]
Starting from a cell relaxed with PBE, the X-ray powder pattern of ThSe3 was simulated for Cu Ka.
Peak positions follow from Bragg's law for the DFT cell and can differ from measured ones.

Structural model:
abc: 5.8155 4.2624 10.0214
angles: 90.00 95.94 90.00
Space group P2_1/m (No. 11)
Inequivalent atoms, fractional coordinates:
Th 0.2236 0.2500 0.3472
Se 0.0191 0.2500 0.8214
Se 0.2607 0.7500 0.5586
Se 0.3902 0.7500 0.1698

Top 8 peaks for 15° ≤ 2θ ≤ 90°, low angle first:
d (Å)  2θ (°)  I_rel  h k l
5.244  16.91  31  1 0 -1
4.792  18.52  32  1 0 1
3.239  27.54  100  0 1 2
2.464  36.47  23  1 1 -3
2.374  37.90  22  2 1 -1
2.317  38.87  25  1 1 3
2.283  39.47  21  2 1 1
2.131  42.41  22  0 2 0

***

[8]
Starting from a cell relaxed with PBE, the X-ray powder pattern of NdMgNi4 was simulated for Cu Ka.
Peak positions follow from Bragg's law for the DFT cell and can differ from measured ones.

Structural model:
abc: 5.0149 5.0190 7.1071
angles: 90.00 90.00 90.00
Space group Imm2 (No. 44)
Inequivalent atoms, fractional coordinates:
Nd 0.0000 0.0000 0.0000
Mg 0.0000 0.5000 0.2510
Ni 0.0000 0.2465 0.6236
Ni 0.2470 0.0000 0.3760

Top 8 peaks for 15° ≤ 2θ ≤ 90°, low angle first:
d (Å)  2θ (°)  I_rel  h k l
4.099  21.68  18  0 1 1
3.549  25.09  22  1 1 0
2.510  35.78  33  2 0 0
2.140  42.22  100  1 0 3
2.049  44.19  34  2 0 2
1.449  64.28  12  3 1 2
1.366  68.74  19  2 3 1
1.255  75.79  18  2 2 4

***

[9]
Starting from a cell relaxed with PBE, the X-ray powder pattern of Zn2P2O7 was simulated for Cu Ka.
Peak positions follow from Bragg's law for the DFT cell and can differ from measured ones.

Structural model:
abc: 6.6525 8.3886 4.5585
angles: 90.00 104.75 90.00
Space group C2/m (No. 12)
Inequivalent atoms, fractional coordinates:
Zn 0.0000 0.1907 0.0000
P 0.2145 0.5000 0.4071
O 0.0000 0.5000 0.5000
O 0.1199 0.0000 0.2872
O 0.2219 0.3479 0.2229

Top 8 peaks for 15° ≤ 2θ ≤ 90°, low angle first:
d (Å)  2θ (°)  I_rel  h k l
4.408  20.14  14  0 0 1
3.041  29.37  100  0 2 1
2.985  29.93  52  2 0 -1
2.564  34.99  19  1 3 0
2.552  35.16  18  2 2 0
2.125  42.54  17  1 3 1
1.865  48.83  14  2 2 -2
1.594  57.86  15  1 3 2

***

[10]
Starting from a cell relaxed with PBE, the X-ray powder pattern of AsAu3 was simulated for Cu Ka.
Peak positions follow from Bragg's law for the DFT cell and can differ from measured ones.

Structural model:
abc: 5.9590 5.9590 4.8089
angles: 90.00 90.00 120.00
Space group P6_3/mmc (No. 194)
Inequivalent atoms, fractional coordinates:
As 0.3333 0.6667 0.2500
Au 0.1668 0.3337 0.7500

Top 8 peaks for 15° ≤ 2θ ≤ 90°, low angle first:
d (Å)  2θ (°)  I_rel  h k l
2.580  34.77  24  2 0 0
2.404  37.40  26  0 0 2
2.274  39.64  100  2 0 1
1.759  51.98  15  2 0 2
1.490  62.33  18  2 2 0
1.362  68.97  20  2 0 3
1.266  75.00  21  2 2 2
1.246  76.44  15  4 0 1

***

[11]
Starting from a cell relaxed with PBE, the X-ray powder pattern of Tm2Pd2O5 was simulated for Cu Ka.
Peak positions follow from Bragg's law for the DFT cell and can differ from measured ones.

Structural model:
abc: 4.0201 4.0201 6.8889
angles: 90.00 90.00 90.00
Space group P4/mmm (No. 123)
Inequivalent atoms, fractional coordinates:
Tm 0.0000 0.0000 0.0000
Tm 0.0000 0.0000 0.5000
Pd 0.5000 0.5000 0.1902
O 0.0000 0.5000 0.2243
O 0.5000 0.5000 0.5000

Top 8 peaks for 15° ≤ 2θ ≤ 90°, low angle first:
d (Å)  2θ (°)  I_rel  h k l
2.843  31.47  69  1 1 0
2.616  34.28  100  1 0 2
2.192  41.17  17  1 1 2
2.010  45.10  40  2 0 0
1.594  57.85  45  2 1 2
1.421  65.69  13  2 2 0
1.271  74.66  12  3 1 0
1.249  76.24  10  3 0 2